1.
Computed X-ray diffraction stick pattern of NaAg2I2Cl for Cu Kα X-rays, from the PBE geometry in Alexandria.
Neutral-atom scattering factors, no anomalous dispersion.

Top 6 peaks for 2θ from 15° to 90°, by angle:
two_theta	I/Imax
22.63	100
23.02	82
25.43	70
39.23	87
41.70	57
41.95	90

Atomic structure:
Unit cell a=13.527 b=8.006 c=7.726 alpha=90.00 beta=90.00 gamma=90.00
Space group Cmc2_1 (No. 36)
Asymmetric unit:
Na  0.000  0.130  0.000 [4 per cell]
Ag  0.165  0.332  0.440 [8 per cell]
I  0.166  0.336  0.809 [8 per cell]
Cl  0.000  0.171  0.344 [4 per cell]

---

2.
Computed X-ray diffraction stick pattern of Er6AlIn for Cu Kα X-rays, from the PBE geometry in Alexandria.
Neutral-atom scattering factors, no anomalous dispersion.

Top 6 peaks for 2θ from 15° to 90°, by angle:
two_theta	I/Imax
32.60	100
37.82	50
54.55	35
65.01	41
68.29	12
89.86	18

Atomic structure:
Unit cell a=4.759 b=4.759 c=9.512 alpha=90.00 beta=90.00 gamma=90.00
Space group P4/mmm (No. 123)
Asymmetric unit:
Er  0.000  0.000  0.000 [1 per cell]
Er  0.000  0.000  0.500 [1 per cell]
Er  0.000  0.500  0.243 [4 per cell]
Al  0.500  0.500  0.000 [1 per cell]
In  0.500  0.500  0.500 [1 per cell]

---

3.
Computed X-ray diffraction stick pattern of Rb2PrCuI6 for Cu Kα X-rays, from the PBE geometry in Alexandria.
Neutral-atom scattering factors, no anomalous dispersion.

Top 6 peaks for 2θ from 15° to 90°, by angle:
two_theta	I/Imax
24.42	48
26.63	25
26.79	100
26.91	24
32.87	19
33.90	21

Atomic structure:
Unit cell a=8.450 b=8.463 c=8.619 alpha=103.44 beta=117.33 gamma=106.99
Space group P1 (No. 1)
Asymmetric unit:
Rb  0.000  0.000  0.000 [1 per cell]
Rb  0.083  0.498  0.585 [1 per cell]
Pr  0.624  0.834  0.292 [1 per cell]
Cu  0.493  0.205  0.790 [1 per cell]
I  0.108  0.042  0.500 [1 per cell]
I  0.168  0.654  0.081 [1 per cell]
I  0.592  0.558  0.946 [1 per cell]
I  0.611  0.105  0.077 [1 per cell]
I  0.666  0.595  0.509 [1 per cell]
I  0.694  0.147  0.639 [1 per cell]

---

4.
Computed X-ray diffraction stick pattern of CsK6Hg2 for Cu Kα X-rays, from the PBE geometry in Alexandria.
Neutral-atom scattering factors, no anomalous dispersion.

Top 6 peaks for 2θ from 15° to 90°, by angle:
two_theta	I/Imax
20.65	59
21.56	71
24.10	100
28.81	61
29.36	78
34.44	47

Atomic structure:
Unit cell a=6.084 b=6.084 c=14.405 alpha=90.00 beta=90.00 gamma=90.00
Space group P4/mmm (No. 123)
Asymmetric unit:
Cs  0.000  0.000  0.000 [1 per cell]
K  0.000  0.000  0.500 [1 per cell]
K  0.000  0.500  0.251 [4 per cell]
K  0.500  0.500  0.500 [1 per cell]
Hg  0.500  0.500  0.104 [2 per cell]

---

5.
Computed X-ray diffraction stick pattern of RuPt2Cl for Cu Kα X-rays, from the PBE geometry in Alexandria.
Neutral-atom scattering factors, no anomalous dispersion.

Top 6 peaks for 2θ from 15° to 90°, by angle:
two_theta	I/Imax
38.56	100
39.02	27
44.96	60
65.16	22
65.78	15
78.63	21

Atomic structure:
Unit cell a=2.8634 b=2.8634 c=27.7027 alpha=90.00 beta=90.00 gamma=120.00
Space group R3m (No. 160, hexagonal axes)
Asymmetric unit:
Ru  0.0000  0.0000  0.0000 [3 per cell]
Pt  0.0000  0.0000  0.4914 [3 per cell]
Pt  0.0000  0.0000  0.7423 [3 per cell]
Cl  0.0000  0.0000  0.2665 [3 per cell]